Structure and simulated X-ray powder pattern of Mn2GePd5 (a GGA-PBE-relaxed structure; Cu Kα (weighted mean of Kα1 and Kα2)).
Lines closer than 0.1° are merged.

Top 10 peaks for 10 to 90 degrees two-theta, in order of falling intensity:
| two_theta | I (rel.) |
| --- | --- |
| 40.29 | 100 |
| 39.39 | 47 |
| 44.19 | 29 |
| 47.37 | 25 |
| 66.77 | 17 |
| 41.41 | 15 |
| 78.64 | 13 |
| 62.15 | 9 |
| 77.88 | 8 |
| 83.82 | 7 |

Structure:
```
16
Lattice="5.5126 0.0000 0.0000 0.0000 10.6947 0.0000 0.0000 0.0000 4.0995" Properties=species:S:1:pos:R:3 pbc="T T T"
Mn 0.9899 1.5007 0.0000
Mn 1.7664 6.8480 0.0000
Mn 3.7462 3.8467 0.0000
Mn 4.5227 9.1940 0.0000
Ge 0.0000 5.3473 2.0497
Ge 2.7563 0.0000 2.0497
Pd 0.0000 0.0000 2.0497
Pd 0.3863 7.9155 2.0497
Pd 1.0517 4.2033 0.0000
Pd 1.7046 9.5506 0.0000
Pd 2.3700 2.5681 2.0497
Pd 2.7563 5.3473 2.0497
Pd 3.1426 8.1266 2.0497
Pd 3.8080 1.1441 0.0000
Pd 4.4608 6.4914 0.0000
Pd 5.1262 2.7792 2.0497
```

Structure and simulated X-ray powder pattern of Mn2GePd8 (a GGA-PBE-relaxed structure; Cu Kα (weighted mean of Kα1 and Kα2)).
Lines closer than 0.1° are merged.

Top 10 peaks for 10 to 90 degrees two-theta, in order of falling intensity:
| two_theta | I (rel.) |
| --- | --- |
| 40.87 | 100 |
| 41.99 | 34 |
| 40.64 | 30 |
| 38.69 | 22 |
| 75.96 | 15 |
| 58.41 | 13 |
| 78.50 | 12 |
| 49.13 | 12 |
| 31.85 | 10 |
| 86.39 | 10 |

Structure:
```
11
Lattice="-2.1517 3.5702 5.5629 2.1517 -3.5702 5.5629 2.1517 3.5702 -5.5629" Properties=species:S:1:pos:R:3 pbc="T T T"
Mn 0.0000 0.0000 2.2479
Mn 0.0000 0.0000 8.8778
Ge 0.0000 0.0000 5.5629
Pd 2.1517 1.5484 -1.6766
Pd 0.0000 1.3134 0.0000
Pd 2.1517 0.0000 4.0229
Pd 2.1517 1.5484 1.6766
Pd 0.0000 2.0218 3.8863
Pd 0.0000 3.5702 1.5400
Pd 0.0000 5.8271 0.0000
Pd 0.0000 2.0218 7.2395
```

Structure and simulated X-ray powder pattern of MnGePd3 (a GGA-PBE-relaxed structure; Cu Kα (weighted mean of Kα1 and Kα2)).
Lines closer than 0.1° are merged.

Top 10 peaks for 10 to 90 degrees two-theta, in order of falling intensity:
| two_theta | I (rel.) |
| --- | --- |
| 41.29 | 100 |
| 36.44 | 88 |
| 42.31 | 70 |
| 37.17 | 46 |
| 40.31 | 44 |
| 37.39 | 40 |
| 42.66 | 33 |
| 33.42 | 27 |
| 43.80 | 26 |
| 40.15 | 22 |

Structure:
```
20
Lattice="4.0608 -5.3622 0.0000 4.0608 5.3622 0.0000 0.0000 0.0000 7.1848" Properties=species:S:1:pos:R:3 pbc="T T T"
Mn 4.0608 3.2505 6.4455
Mn 4.0608 2.1116 2.8531
Mn 4.0608 -2.1116 4.3317
Mn 4.0608 -3.2505 0.7393
Ge 2.0304 1.8678 5.3886
Ge 2.0304 -1.8678 1.7962
Ge 6.0912 1.8678 5.3886
Ge 6.0912 -1.8678 1.7962
Pd 4.0608 4.8582 1.4039
Pd 1.4602 1.2833 3.0664
Pd 2.6006 1.2833 0.5260
Pd 1.4602 -1.2833 4.1184
Pd 2.6006 -1.2833 6.6588
Pd 4.0608 0.5039 4.9963
Pd 4.0608 -0.5039 2.1885
Pd 5.5210 1.2833 0.5260
Pd 6.6614 1.2833 3.0664
Pd 5.5210 -1.2833 6.6588
Pd 6.6614 -1.2833 4.1184
Pd 4.0608 -4.8582 5.7809
```

Structure and simulated X-ray powder pattern of Pm2MnGe4 (a GGA-PBE-relaxed structure; Cu Kα (weighted mean of Kα1 and Kα2)).
Lines closer than 0.1° are merged.

Top 10 peaks for 10 to 90 degrees two-theta, in order of falling intensity:
| two_theta | I (rel.) |
| --- | --- |
| 36.00 | 100 |
| 29.06 | 92 |
| 42.30 | 43 |
| 20.79 | 38 |
| 60.25 | 30 |
| 40.83 | 29 |
| 52.14 | 25 |
| 46.23 | 21 |
| 73.25 | 16 |
| 47.58 | 14 |

Structure:
```
14
Lattice="6.0431 0.0000 0.0000 0.0000 6.0431 0.0000 0.0000 0.0000 8.8408" Properties=species:S:1:pos:R:3 pbc="T T T"
Pm 0.0000 3.0215 0.0000
Pm 0.0000 3.0215 4.4204
Pm 3.0215 0.0000 0.0000
Pm 3.0215 0.0000 4.4204
Mn 0.0000 0.0000 2.2155
Mn 3.0215 3.0215 6.6359
Ge 1.2896 1.2896 6.6300
Ge 1.2896 4.7535 6.6300
Ge 1.7320 1.7320 2.2096
Ge 1.7320 4.3111 2.2096
Ge 4.3111 1.7320 2.2096
Ge 4.3111 4.3111 2.2096
Ge 4.7535 1.2896 6.6300
Ge 4.7535 4.7535 6.6300
```

Please write out number 1 again, unchanged.
Structure and simulated X-ray powder pattern of Mn2GePd5 (a GGA-PBE-relaxed structure; Cu Kα (weighted mean of Kα1 and Kα2)).
Lines closer than 0.1° are merged.

Top 10 peaks for 10 to 90 degrees two-theta, in order of falling intensity:
| two_theta | I (rel.) |
| --- | --- |
| 40.29 | 100 |
| 39.39 | 47 |
| 44.19 | 29 |
| 47.37 | 25 |
| 66.77 | 17 |
| 41.41 | 15 |
| 78.64 | 13 |
| 62.15 | 9 |
| 77.88 | 8 |
| 83.82 | 7 |

Structure:
```
16
Lattice="5.5126 0.0000 0.0000 0.0000 10.6947 0.0000 0.0000 0.0000 4.0995" Properties=species:S:1:pos:R:3 pbc="T T T"
Mn 0.9899 1.5007 0.0000
Mn 1.7664 6.8480 0.0000
Mn 3.7462 3.8467 0.0000
Mn 4.5227 9.1940 0.0000
Ge 0.0000 5.3473 2.0497
Ge 2.7563 0.0000 2.0497
Pd 0.0000 0.0000 2.0497
Pd 0.3863 7.9155 2.0497
Pd 1.0517 4.2033 0.0000
Pd 1.7046 9.5506 0.0000
Pd 2.3700 2.5681 2.0497
Pd 2.7563 5.3473 2.0497
Pd 3.1426 8.1266 2.0497
Pd 3.8080 1.1441 0.0000
Pd 4.4608 6.4914 0.0000
Pd 5.1262 2.7792 2.0497
```